# 1
Zr7Tl3Cd: theoretical powder XRD pattern (Cu Kα (λ = 1.5418 Å)), based on the GGA-PBE geometry in Alexandria.
Kinematic intensities with the Lorentz-polarization factor, no thermal factor.

Principal peaks in the range 2θ = 15–90°, in order of rising 2θ:
2theta  Rel. int.
25.3  24
25.8  35
33.5  71
34.4  48
35.6  29
36.4  100
37.3  85
48.7  35

Atomic structure:
```
data_Zr7Tl3Cd
_chemical_formula_sum 'Zr14 Tl6 Cd2'
_symmetry_space_group_name_H-M 'C 1 2/m 1'
_symmetry_Int_Tables_number 12
_symmetry_space_group_name_Hall '-C 2y'
_cell_length_a 10.8733
_cell_length_b 10.4385
_cell_length_c 5.3578
_cell_angle_alpha 90.00
_cell_angle_beta 117.44
_cell_angle_gamma 90.00
loop_
_atom_site_label
_atom_site_fract_x
_atom_site_fract_y
_atom_site_fract_z
Zr1 0.0000 0.0000 0.0000
Zr2 0.1948 0.2831 0.6970
Zr3 0.1976 0.5000 0.1676
Tl1 0.0000 0.2764 0.0000
Tl2 0.0000 0.5000 0.5000
Cd1 0.0000 0.0000 0.5000
```


# 2
CrPt4Rh3: theoretical powder XRD pattern (Cu Kα (λ = 1.5418 Å)), based on the GGA-PBE geometry in Alexandria.
Kinematic intensities with the Lorentz-polarization factor, no thermal factor.

Principal peaks in the range 2θ = 15–90°, in order of rising 2θ:
2theta  Rel. int.
33.8  54
39.3  79
39.5  100
40.6  84
40.8  75
42.2  40
48.6  46
49.4  39

Atomic structure:
```
data_CrPt4Rh3
_chemical_formula_sum 'Cr2 Pt8 Rh6'
_symmetry_space_group_name_H-M 'C 1 2/m 1'
_symmetry_Int_Tables_number 12
_symmetry_space_group_name_Hall '-C 2y'
_cell_length_a 18.3573
_cell_length_b 2.6842
_cell_length_c 5.2093
_cell_angle_alpha 90.00
_cell_angle_beta 104.47
_cell_angle_gamma 90.00
loop_
_atom_site_label
_atom_site_fract_x
_atom_site_fract_y
_atom_site_fract_z
Cr1 0.0000 0.0000 0.0000
Pt1 0.1158 0.5000 0.9083
Pt2 0.2398 0.0000 0.7513
Rh1 0.0000 0.5000 0.5000
Rh2 0.1286 0.5000 0.4088
```


# 3
ThIn4Hg4: theoretical powder XRD pattern (Cu Kα (λ = 1.5418 Å)), based on the GGA-PBE geometry in Alexandria.
Kinematic intensities with the Lorentz-polarization factor, no thermal factor.

Principal peaks in the range 2θ = 15–90°, in order of rising 2θ:
2theta  Rel. int.
28.8  39
30.5  65
30.8  59
34.1  100
35.2  46
35.8  76
36.7  47
50.8  32

Atomic structure:
```
data_ThIn4Hg4
_chemical_formula_sum 'Th1 In4 Hg4'
_symmetry_space_group_name_H-M 'P -1'
_symmetry_Int_Tables_number 2
_symmetry_space_group_name_Hall '-P 1'
_cell_length_a 4.9574
_cell_length_b 5.0644
_cell_length_c 10.9049
_cell_angle_alpha 83.10
_cell_angle_beta 82.00
_cell_angle_gamma 63.38
loop_
_atom_site_label
_atom_site_fract_x
_atom_site_fract_y
_atom_site_fract_z
Th1 0.0000 0.0000 0.0000
In1 0.2871 0.2841 0.1876
In2 0.3450 0.3351 0.4599
Hg1 0.0553 0.0720 0.6812
Hg2 0.3631 0.3641 0.8713
```


# 4
TiBe9Rh2: theoretical powder XRD pattern (Cu Kα (λ = 1.5418 Å)), based on the GGA-PBE geometry in Alexandria.
Kinematic intensities with the Lorentz-polarization factor, no thermal factor.

Principal peaks in the range 2θ = 15–90°, in order of rising 2θ:
2theta  Rel. int.
24.0  100
29.3  49
38.6  68
41.5  62
42.3  42
43.6  25
48.5  23
49.5  30

Atomic structure:
```
data_TiBe9Rh2
_chemical_formula_sum 'Ti3 Be27 Rh6'
_symmetry_space_group_name_H-M 'R -3 m'
_symmetry_Int_Tables_number 166
_symmetry_space_group_name_Hall '-R 3 2"'
_cell_length_a 4.3488
_cell_length_b 4.3488
_cell_length_c 20.7784
_cell_angle_alpha 90.00
_cell_angle_beta 90.00
_cell_angle_gamma 120.00
loop_
_atom_site_label
_atom_site_fract_x
_atom_site_fract_y
_atom_site_fract_z
Ti1 0.0000 0.0000 0.0000
Be1 0.0000 0.0000 0.3326
Be2 0.0000 0.0000 0.5000
Be3 0.0045 0.5023 0.9145
Rh1 0.0000 0.0000 0.1372
```


# 5
Tb2Al7: theoretical powder XRD pattern (Cu Kα (λ = 1.5418 Å)), based on the GGA-PBE geometry in Alexandria.
Kinematic intensities with the Lorentz-polarization factor, no thermal factor.

Principal peaks in the range 2θ = 15–90°, in order of rising 2θ:
2theta  Rel. int.
18.7  66
20.0  25
29.1  77
30.9  42
32.4  74
37.6  39
38.4  100
55.8  26

Atomic structure:
```
data_Tb2Al7
_chemical_formula_sum 'Tb12 Al42'
_symmetry_space_group_name_H-M 'R -3 m'
_symmetry_Int_Tables_number 166
_symmetry_space_group_name_Hall '-R 3 2"'
_cell_length_a 5.5286
_cell_length_b 5.5286
_cell_length_c 39.9091
_cell_angle_alpha 90.00
_cell_angle_beta 90.00
_cell_angle_gamma 120.00
loop_
_atom_site_label
_atom_site_fract_x
_atom_site_fract_y
_atom_site_fract_z
Tb1 0.0000 0.0000 0.0532
Tb2 0.0000 0.0000 0.1498
Al1 0.0000 0.0000 0.2786
Al2 0.0000 0.0000 0.3889
Al3 0.0000 0.0000 0.5000
Al4 0.0000 0.5000 0.0000
Al5 0.0047 0.5023 0.8891
```


# 6
NbPdRh4: theoretical powder XRD pattern (Cu Kα (λ = 1.5418 Å)), based on the GGA-PBE geometry in Alexandria.
Kinematic intensities with the Lorentz-polarization factor, no thermal factor.

Principal peaks in the range 2θ = 15–90°, in order of rising 2θ:
2theta  Rel. int.
35.0  60
39.7  62
41.2  100
45.1  56
46.3  51
52.8  18
71.8  19
84.3  19

Atomic structure:
```
data_NbPdRh4
_chemical_formula_sum 'Nb2 Pd2 Rh8'
_symmetry_space_group_name_H-M 'C 1 2/m 1'
_symmetry_Int_Tables_number 12
_symmetry_space_group_name_Hall '-C 2y'
_cell_length_a 5.2070
_cell_length_b 7.4982
_cell_length_c 5.3987
_cell_angle_alpha 90.00
_cell_angle_beta 117.96
_cell_angle_gamma 90.00
loop_
_atom_site_label
_atom_site_fract_x
_atom_site_fract_y
_atom_site_fract_z
Nb1 0.0000 0.0000 0.0000
Pd1 0.0000 0.5000 0.5000
Rh1 0.2449 0.1878 0.7496
```


# 7
YZr5O11: theoretical powder XRD pattern (Cu Kα (λ = 1.5418 Å)), based on the GGA-PBE geometry in Alexandria.
Kinematic intensities with the Lorentz-polarization factor, no thermal factor.

Principal peaks in the range 2θ = 15–90°, in order of rising 2θ:
2theta  Rel. int.
23.2  24
25.1  59
30.3  100
31.7  36
34.6  22
44.4  26
52.7  28
57.5  28

Atomic structure:
```
data_YZr5O11
_chemical_formula_sum 'Y1 Zr5 O11'
_symmetry_space_group_name_H-M 'P 1 m 1'
_symmetry_Int_Tables_number 6
_symmetry_space_group_name_Hall 'P -2y'
_cell_length_a 7.5341
_cell_length_b 3.5267
_cell_length_c 8.4989
_cell_angle_alpha 90.00
_cell_angle_beta 94.77
_cell_angle_gamma 90.00
loop_
_atom_site_label
_atom_site_fract_x
_atom_site_fract_y
_atom_site_fract_z
Y1 0.0000 0.0000 0.0000
Zr1 0.0792 0.5000 0.3698
Zr2 0.3276 0.0000 0.6591
Zr3 0.4149 0.5000 0.0297
Zr4 0.6585 0.0000 0.3210
Zr5 0.7370 0.5000 0.6881
O1 0.1619 0.5000 0.1265
O2 0.1765 0.5000 0.6203
O3 0.2240 0.0000 0.4118
O4 0.2649 0.0000 0.9020
O5 0.4947 0.5000 0.7863
O6 0.5137 0.5000 0.2760
O7 0.5733 0.0000 0.5593
O8 0.5741 0.0000 0.0695
O9 0.8228 0.5000 0.4566
O10 0.8622 0.0000 0.7620
O11 0.9136 0.0000 0.2464
```


# 8
Mn2SiTcC: theoretical powder XRD pattern (Cu Kα (λ = 1.5418 Å)), based on the GGA-PBE geometry in Alexandria.
Kinematic intensities with the Lorentz-polarization factor, no thermal factor.

Principal peaks in the range 2θ = 15–90°, in order of rising 2θ:
2theta  Rel. int.
23.6  28
32.4  13
40.5  100
44.6  22
48.3  34
67.8  23
79.4  13
84.8  22

Atomic structure:
```
data_Mn2SiTcC
_chemical_formula_sum 'Mn2 Si1 Tc1 C1'
_symmetry_space_group_name_H-M 'P 4/m m m'
_symmetry_Int_Tables_number 123
_symmetry_space_group_name_Hall '-P 4 2'
_cell_length_a 3.7687
_cell_length_b 3.7687
_cell_length_c 4.0621
_cell_angle_alpha 90.00
_cell_angle_beta 90.00
_cell_angle_gamma 90.00
loop_
_atom_site_label
_atom_site_fract_x
_atom_site_fract_y
_atom_site_fract_z
Mn1 0.0000 0.5000 0.0000
Si1 0.0000 0.0000 0.5000
Tc1 0.5000 0.5000 0.5000
C1 0.5000 0.5000 0.0000
```


# 9
TbNd12Dy7: theoretical powder XRD pattern (Cu Kα (λ = 1.5418 Å)), based on the GGA-PBE geometry in Alexandria.
Kinematic intensities with the Lorentz-polarization factor, no thermal factor.

Principal peaks in the range 2θ = 15–90°, in order of rising 2θ:
2theta  Rel. int.
28.8  37
30.1  21
31.0  100
33.4  41
35.4  30
50.9  17
55.1  11
63.7  16

Atomic structure:
```
data_TbNd12Dy7
_chemical_formula_sum 'Tb3 Nd36 Dy21'
_symmetry_space_group_name_H-M 'R -3'
_symmetry_Int_Tables_number 148
_symmetry_space_group_name_Hall '-R 3'
_cell_length_a 15.2693
_cell_length_b 15.2693
_cell_length_c 10.1590
_cell_angle_alpha 90.00
_cell_angle_beta 90.00
_cell_angle_gamma 120.00
loop_
_atom_site_label
_atom_site_fract_x
_atom_site_fract_y
_atom_site_fract_z
Tb1 0.0000 0.0000 0.0000
Nd1 0.0438 0.1987 0.2517
Nd2 0.0452 0.2486 0.5756
Dy1 0.0000 0.0000 0.5000
Dy2 0.0666 0.2448 0.9261
```


# 10
Pm2Nd4Tl3O2: theoretical powder XRD pattern (Cu Kα (λ = 1.5418 Å)), based on the GGA-PBE geometry in Alexandria.
Kinematic intensities with the Lorentz-polarization factor, no thermal factor.

Principal peaks in the range 2θ = 15–90°, in order of rising 2θ:
2theta  Rel. int.
18.6  17
26.8  34
29.5  19
30.5  17
33.4  100
37.0  56
53.3  20
64.4  31

Atomic structure:
```
data_Pm2Nd4Tl3O2
_chemical_formula_sum 'Pm4 Nd8 Tl6 O4'
_symmetry_space_group_name_H-M 'I 4/m m m'
_symmetry_Int_Tables_number 139
_symmetry_space_group_name_Hall '-I 4 2'
_cell_length_a 4.8616
_cell_length_b 4.8616
_cell_length_c 25.6636
_cell_angle_alpha 90.00
_cell_angle_beta 90.00
_cell_angle_gamma 90.00
loop_
_atom_site_label
_atom_site_fract_x
_atom_site_fract_y
_atom_site_fract_z
Pm1 0.0000 0.0000 0.1975
Nd1 0.0000 0.5000 0.0856
Tl1 0.0000 0.0000 0.3233
Tl2 0.0000 0.0000 0.5000
O1 0.0000 0.0000 0.1041
```